Entry 1:
Simulated XRD peak list of Pr4NdEr4 for Cu Kα X-rays, from a crystal structure in Alexandria, relaxed with PBE.

The 7 most intense peaks (2θ = 10–80°), in order of rising 2θ:
two_theta  I_rel
11.52  1
30.24  100
35.05  51
50.42  36
59.92  43
62.88  12
74.07  6

```
Pr4NdEr4
1.0
-5.432 5.432 2.559
5.432 -5.432 2.559
5.432 5.432 -2.559
Pr Nd Er
4 1 4
Direct
0.168 0.168 0.336
0.168 0.832 0.000
0.832 0.168 0.000
0.832 0.832 0.664
0.500 0.500 0.000
0.163 0.500 0.663
0.500 0.163 0.663
0.500 0.837 0.337
0.837 0.500 0.337
```



Entry 2:
Simulated XRD peak list of MgCd for Cu Kα X-rays, from a crystal structure in Alexandria, relaxed with PBE.

The 10 most intense peaks (2θ = 10–80°), in order of rising 2θ:
two_theta  I_rel
19.15  48
25.62  35
25.73  20
33.31  33
34.45  45
37.64  100
37.87  59
48.68  22
63.82  23
72.62  21

```
MgCd
1.0
5.207 0.000 0.000
0.000 9.340 0.000
0.000 0.000 5.339
Mg Cd
6 6
Direct
0.000 0.000 0.000
0.000 0.500 0.500
0.500 0.169 0.189
0.500 0.331 0.689
0.500 0.669 0.689
0.500 0.831 0.189
0.000 0.167 0.504
0.000 0.333 0.004
0.000 0.667 0.004
0.000 0.833 0.504
0.500 0.000 0.689
0.500 0.500 0.189
```



Entry 3:
Simulated XRD peak list of BC3 for Cu Kα X-rays, from a crystal structure in Alexandria, relaxed with PBE.

The 10 most intense peaks (2θ = 10–80°), in order of rising 2θ:
two_theta  I_rel
13.64  6
20.51  1
27.47  1
41.73  29
42.97  100
49.10  1
49.67  1
72.01  25
73.76  25
79.10  1

```
BC3
1.0
2.569 0.000 0.000
-1.285 2.225 0.000
0.000 0.000 12.988
B C
3 9
Direct
0.000 0.000 0.000
0.000 0.000 0.494
0.667 0.333 0.826
0.000 0.000 0.368
0.000 0.000 0.879
0.333 0.667 0.053
0.333 0.667 0.169
0.333 0.667 0.544
0.333 0.667 0.662
0.667 0.333 0.210
0.667 0.333 0.330
0.667 0.333 0.701
```



Entry 4:
Simulated XRD peak list of Sm16Dy6Ho7 for Cu Kα X-rays, from a crystal structure in Alexandria, relaxed with PBE.

The 10 most intense peaks (2θ = 10–80°), in order of rising 2θ:
two_theta  I_rel
27.56  6
29.26  11
31.92  100
33.43  5
43.85  7
45.77  14
56.89  27
60.38  6
66.73  7
75.89  7

```
Sm16Dy6Ho7
1.0
0.000 7.929 7.929
7.929 0.000 7.929
7.929 7.929 0.000
Sm Dy Ho
16 6 7
Direct
0.050 0.650 0.650
0.124 0.124 0.124
0.124 0.124 0.627
0.124 0.627 0.124
0.350 0.350 0.350
0.350 0.350 0.950
0.350 0.950 0.350
0.373 0.876 0.876
0.627 0.124 0.124
0.650 0.050 0.650
0.650 0.650 0.050
0.650 0.650 0.650
0.876 0.373 0.876
0.876 0.876 0.373
0.876 0.876 0.876
0.950 0.350 0.350
0.270 0.270 0.730
0.270 0.730 0.270
0.270 0.730 0.730
0.730 0.270 0.270
0.730 0.270 0.730
0.730 0.730 0.270
0.000 0.000 0.000
0.000 0.000 0.500
0.000 0.500 0.000
0.000 0.500 0.500
0.500 0.000 0.000
0.500 0.000 0.500
0.500 0.500 0.000
```



Entry 5:
Simulated XRD peak list of Li10CaAg2 for Cu Kα X-rays, from a crystal structure in Alexandria, relaxed with PBE.

The 10 most intense peaks (2θ = 10–80°), in order of rising 2θ:
two_theta  I_rel
12.66  100
13.27  46
18.38  46
25.49  22
26.73  18
29.68  27
34.21  18
36.62  39
37.26  20
43.14  20

```
Li10CaAg2
1.0
0.000 6.671 6.991
2.850 0.000 6.991
2.850 6.671 0.000
Li Ca Ag
10 1 2
Direct
0.000 0.500 0.000
0.008 0.783 0.217
0.147 0.514 0.486
0.217 0.992 0.008
0.486 0.853 0.147
0.500 0.000 0.500
0.514 0.147 0.853
0.783 0.008 0.992
0.853 0.486 0.514
0.992 0.217 0.783
0.500 0.500 0.500
0.000 0.000 0.500
0.500 0.500 0.000
```



Entry 6:
Simulated XRD peak list of PbAuSe2O8 for Cu Kα X-rays, from a crystal structure in Alexandria, relaxed with PBE.

The 10 most intense peaks (2θ = 10–80°), in order of rising 2θ:
two_theta  I_rel
21.38  20
25.13  100
34.98  42
36.67  36
42.11  17
43.56  27
51.58  13
57.04  23
59.37  20
63.84  14

```
PbAuSe2O8
1.0
2.565 1.481 7.835
-2.565 1.481 7.835
0.000 -2.962 7.835
Pb Au Se O
1 1 2 8
Direct
0.000 0.000 0.000
0.500 0.500 0.500
0.252 0.252 0.252
0.748 0.748 0.748
0.076 0.448 0.782
0.218 0.552 0.924
0.324 0.324 0.324
0.448 0.782 0.076
0.552 0.924 0.218
0.676 0.676 0.676
0.782 0.076 0.448
0.924 0.218 0.552
```



Entry 7:
Simulated XRD peak list of PrHoAl2 for Cu Kα X-rays, from a crystal structure in Alexandria, relaxed with PBE.

The 10 most intense peaks (2θ = 10–80°), in order of rising 2θ:
two_theta  I_rel
24.01  30
24.30  59
34.42  100
34.63  49
42.58  27
49.78  18
55.57  13
56.00  12
61.52  19
61.92  36

```
PrHoAl2
1.0
5.181 0.000 0.000
0.000 5.181 0.000
0.000 0.000 3.707
Pr Ho Al
1 1 2
Direct
0.000 0.000 0.000
0.500 0.500 0.000
0.000 0.500 0.500
0.500 0.000 0.500
```



Entry 8:
Simulated XRD peak list of SrLiSn2Au2 for Cu Kα X-rays, from a crystal structure in Alexandria, relaxed with PBE.

The 10 most intense peaks (2θ = 10–80°), in order of rising 2θ:
two_theta  I_rel
21.63  38
23.98  35
24.77  55
32.51  71
36.32  26
37.93  100
45.37  40
50.80  21
53.52  52
65.11  20

```
SrLiSn2Au2
1.0
4.745 0.000 0.000
-2.372 4.109 0.000
0.000 0.000 7.421
Sr Li Sn Au
1 1 2 2
Direct
0.000 0.000 0.000
0.000 0.000 0.500
0.333 0.667 0.303
0.667 0.333 0.697
0.333 0.667 0.700
0.667 0.333 0.300
```



Entry 9:
Simulated XRD peak list of LaGeBr2 for Cu Kα X-rays, from a crystal structure in Alexandria, relaxed with PBE.

The 10 most intense peaks (2θ = 10–80°), in order of rising 2θ:
two_theta  I_rel
28.34  100
31.44  51
34.68  17
35.40  25
36.57  34
40.81  67
49.02  41
57.59  13
61.91  29
65.63  16

```
LaGeBr2
1.0
3.717 0.000 0.000
-1.858 3.219 0.000
0.000 0.000 30.425
La Ge Br
3 3 6
Direct
0.000 0.000 0.000
0.333 0.667 0.667
0.667 0.333 0.333
0.000 0.000 0.500
0.333 0.667 0.167
0.667 0.333 0.833
0.000 0.000 0.405
0.000 0.000 0.595
0.333 0.667 0.072
0.333 0.667 0.262
0.667 0.333 0.738
0.667 0.333 0.928
```



Entry 10:
Simulated XRD peak list of CsRbZnAu3 for Cu Kα X-rays, from a crystal structure in Alexandria, relaxed with PBE.

The 10 most intense peaks (2θ = 10–80°), in order of rising 2θ:
two_theta  I_rel
14.30  100
15.96  25
20.77  37
25.60  41
26.15  97
29.35  30
31.65  29
34.08  94
36.32  34
40.66  34

```
CsRbZnAu3
1.0
3.532 -7.979 0.000
3.532 7.979 0.000
-2.511 0.000 7.734
Cs Rb Zn Au
2 2 2 6
Direct
0.241 0.759 0.750
0.759 0.241 0.250
0.082 0.918 0.250
0.918 0.082 0.750
0.491 0.509 0.250
0.509 0.491 0.750
0.271 0.425 0.475
0.324 0.676 0.250
0.425 0.271 0.975
0.575 0.729 0.025
0.676 0.324 0.750
0.729 0.575 0.525
```



Entry 11:
Simulated XRD peak list of Ho3Hg4Pb for Cu Kα X-rays, from a crystal structure in Alexandria, relaxed with PBE.

The 10 most intense peaks (2θ = 10–80°), in order of rising 2θ:
two_theta  I_rel
31.09  5
33.88  96
34.37  100
49.03  34
60.30  15
61.24  36
61.55  19
64.34  4
71.29  9
72.43  12

```
Ho3Hg4Pb
1.0
2.610 1.507 8.703
-2.610 1.507 8.703
0.000 -3.013 8.703
Ho Hg Pb
3 4 1
Direct
0.000 0.000 0.000
0.245 0.245 0.245
0.755 0.755 0.755
0.118 0.118 0.118
0.368 0.368 0.368
0.632 0.632 0.632
0.882 0.882 0.882
0.500 0.500 0.500
```



Entry 12:
Simulated XRD peak list of Ho3CdHg2 for Cu Kα X-rays, from a crystal structure in Alexandria, relaxed with PBE.

The 10 most intense peaks (2θ = 10–80°), in order of rising 2θ:
two_theta  I_rel
15.96  1
25.27  1
28.90  1
34.16  100
49.01  12
49.21  6
61.11  25
61.24  12
71.83  4
71.99  8

```
Ho3CdHg2
1.0
3.717 0.000 0.000
0.000 3.717 0.000
0.000 0.000 11.108
Ho Cd Hg
3 1 2
Direct
0.000 0.000 0.000
0.000 0.000 0.331
0.000 0.000 0.669
0.500 0.500 0.500
0.500 0.500 0.169
0.500 0.500 0.831
```